[1]
For MgZrCd6, a structure optimized by DFT (GGA-PBE) gives the computed XRD peak list in this record (copper Kα).
Kinematic intensities with the Lorentz-polarization factor, no thermal factor.

Principal peaks in the range 5 to 70 degrees two-theta, low angle first:
10.21 deg, I 3, (0 0 1)
19.83 deg, I 4, (1 0 0)
22.35 deg, I 2, (1 0 1)
28.66 deg, I 3, (1 0 2)
35.10 deg, I 100, (1 1 2)
40.28 deg, I 34, (2 0 0)
41.68 deg, I 16, (0 0 4)
58.28 deg, I 11, (2 2 0)
59.35 deg, I 21, (2 0 4)
69.88 deg, I 25, (3 1 2)

Structure:
a = 4.4780 Å, b = 4.4780 Å, c = 8.6681 Å
α = 90.00°, β = 90.00°, γ = 90.00°
Positions (direct):
Mg (0.0000, 0.0000, 0.0000)
Zr (0.0000, 0.0000, 0.5000)
Cd (0.0000, 0.5000, 0.2497)
Cd (0.0000, 0.5000, 0.7503)
Cd (0.5000, 0.0000, 0.2497)
Cd (0.5000, 0.0000, 0.7503)
Cd (0.5000, 0.5000, 0.0000)
Cd (0.5000, 0.5000, 0.5000)

---

[2]
For Rb2SiCSe, a structure optimized by DFT (GGA-PBE) gives the computed XRD peak list in this record (copper Kα).
Kinematic intensities with the Lorentz-polarization factor, no thermal factor.

Principal peaks in the range 5 to 70 degrees two-theta, low angle first:
13.71 deg, I 17, (1 0 0)
27.62 deg, I 73, (2 0 0)
29.95 deg, I 100, (1 1 1)
39.46 deg, I 27, (2 2 0)
50.32 deg, I 46, (3 1 1)
54.55 deg, I 20, (2 0 2)
57.04 deg, I 9, (4 0 0)
62.22 deg, I 14, (2 2 2)
64.53 deg, I 12, (4 2 0)
65.77 deg, I 11, (3 3 1)

Structure:
a = 6.4585 Å, b = 6.4585 Å, c = 3.9416 Å
α = 90.00°, β = 90.00°, γ = 90.00°
Positions (direct):
Rb (0.0000, 0.5000, 0.0000)
Rb (0.5000, 0.0000, 0.0000)
Si (0.0000, 0.0000, 0.5000)
C (0.5000, 0.5000, 0.0000)
Se (0.5000, 0.5000, 0.5000)